Ga2Cu5Au2: theoretical X-ray diffraction stick pattern (a wavelength of 1.5418 Å), based on a structure optimized by DFT (PBE).

Largest 10 diffraction maxima, sorted by position, 2θ from 10° to 80°:
d_spacing, Rel. int.
4.049, 29
3.906, 36
2.307, 46
2.277, 82
2.206, 63
2.147, 100
2.128, 30
2.113, 43
2.024, 51
1.978, 31

Crystal structure
```
Ga2Cu5Au2
1.0
4.994 0.000 0.000
2.354 4.512 0.000
2.406 -0.996 5.860
Ga Cu Au
2 5 2
direct
0.053 0.151 0.187
0.947 0.849 0.813
0.390 0.377 0.898
0.464 0.863 0.775
0.500 0.500 0.500
0.536 0.137 0.225
0.610 0.623 0.102
0.026 0.300 0.660
0.974 0.700 0.340
```